Starting from the GGA-PBE geometry in OQMD, the powder XRD pattern of Cu4Ag was computed for Cu Kα (weighted mean of Kα1 and Kα2).

Principal peaks in the range 10° ≤ 2θ ≤ 90°, by intensity:
41.96°, I 100; 47.01°, I 47; 83.84°, I 23; 38.87°, I 17; 68.67°, I 14; 45.51°, I 11; 77.84°, I 7; 36.31°, I 7; 73.00°, I 7; 52.37°, I 5

Structure:
a b c (Å): 2.733 2.733 17.471
angles (deg): 90.00 90.00 90.00
Positions (direct):
Cu 0.250 0.250 0.046
Cu 0.250 0.250 0.231
Cu 0.250 0.250 0.677
Cu 0.250 0.250 0.861
Cu 0.750 0.750 0.139
Cu 0.750 0.750 0.323
Cu 0.750 0.750 0.769
Cu 0.750 0.750 0.954
Ag 0.250 0.250 0.435
Ag 0.750 0.750 0.565

Starting from the GGA-PBE geometry in OQMD, the powder XRD pattern of NaAg6TeO6F was computed for Cu Kα (weighted mean of Kα1 and Kα2).

Principal peaks in the range 10° ≤ 2θ ≤ 90°, by intensity:
34.25°, I 100; 31.52°, I 29; 61.29°, I 28; 35.52°, I 25; 68.65°, I 15; 39.72°, I 14; 14.56°, I 13; 48.74°, I 12; 24.47°, I 10; 53.41°, I 8

Structure:
a b c (Å): 6.142 6.142 6.142
angles (deg): 95.28 95.28 95.28
Positions (direct):
Na 0.000 0.000 0.000
Ag 0.150 0.827 0.471
Ag 0.415 0.652 0.886
Ag 0.471 0.150 0.827
Ag 0.652 0.886 0.415
Ag 0.827 0.471 0.150
Ag 0.886 0.415 0.652
Te 0.315 0.315 0.315
O 0.060 0.127 0.390
O 0.127 0.390 0.060
O 0.233 0.523 0.551
O 0.390 0.060 0.127
O 0.523 0.551 0.233
O 0.551 0.233 0.523
F 0.780 0.780 0.780

Starting from the GGA-PBE geometry in OQMD, the powder XRD pattern of HfP2Cl2O6 was computed for Cu Kα (weighted mean of Kα1 and Kα2).

Principal peaks in the range 10° ≤ 2θ ≤ 90°, by intensity:
23.54°, I 100; 32.43°, I 35; 34.61°, I 29; 48.16°, I 27; 14.36°, I 24; 52.77°, I 23; 18.55°, I 21; 59.26°, I 19; 40.46°, I 18; 44.02°, I 13

Structure:
a b c (Å): 5.522 5.522 6.169
angles (deg): 90.00 90.00 120.00
Positions (direct):
Hf 0.000 0.000 0.000
P 0.333 0.667 0.249
P 0.667 0.333 0.751
Cl 0.333 0.667 0.571
Cl 0.667 0.333 0.429
O 0.180 0.361 0.180
O 0.180 0.820 0.180
O 0.361 0.180 0.820
O 0.639 0.820 0.180
O 0.820 0.180 0.820
O 0.820 0.639 0.820

Starting from the GGA-PBE geometry in OQMD, the powder XRD pattern of ErGe2Os was computed for Cu Kα (weighted mean of Kα1 and Kα2).

Principal peaks in the range 10° ≤ 2θ ≤ 90°, by intensity:
38.24°, I 100; 36.32°, I 94; 40.28°, I 60; 37.84°, I 49; 35.07°, I 44; 43.39°, I 43; 38.34°, I 42; 21.30°, I 39; 64.66°, I 26; 62.43°, I 21

Structure:
a b c (Å): 9.630 10.616 8.342
angles (deg): 90.00 90.00 90.00
Positions (direct):
Er 0.164 0.177 0.000
Er 0.178 0.448 0.249
Er 0.178 0.448 0.751
Er 0.322 0.948 0.249
Er 0.322 0.948 0.751
Er 0.336 0.677 0.000
Er 0.664 0.323 0.000
Er 0.678 0.052 0.249
Er 0.678 0.052 0.751
Er 0.822 0.552 0.249
Er 0.822 0.552 0.751
Er 0.836 0.823 0.000
Ge 0.038 0.616 0.000
Ge 0.044 0.616 0.500
Ge 0.123 0.899 0.500
Ge 0.130 0.896 0.000
Ge 0.160 0.179 0.349
Ge 0.160 0.179 0.651
Ge 0.340 0.679 0.349
Ge 0.340 0.679 0.651
Ge 0.370 0.396 0.000
Ge 0.377 0.399 0.500
Ge 0.456 0.116 0.500
Ge 0.462 0.116 0.000
Ge 0.538 0.884 0.000
Ge 0.544 0.884 0.500
Ge 0.623 0.601 0.500
Ge 0.630 0.604 0.000
Ge 0.660 0.321 0.349
Ge 0.660 0.321 0.651
Ge 0.840 0.821 0.349
Ge 0.840 0.821 0.651
Ge 0.870 0.104 0.000
Ge 0.877 0.101 0.500
Ge 0.956 0.384 0.500
Ge 0.962 0.384 0.000
Os 0.000 0.000 0.250
Os 0.000 0.000 0.750
Os 0.085 0.737 0.251
Os 0.085 0.737 0.749
Os 0.415 0.237 0.251
Os 0.415 0.237 0.749
Os 0.500 0.500 0.250
Os 0.500 0.500 0.750
Os 0.585 0.763 0.251
Os 0.585 0.763 0.749
Os 0.915 0.263 0.251
Os 0.915 0.263 0.749

Starting from the GGA-PBE geometry in OQMD, the powder XRD pattern of LiZn6Co was computed for Cu Kα (weighted mean of Kα1 and Kα2).

Principal peaks in the range 10° ≤ 2θ ≤ 90°, by intensity:
44.57°, I 100; 43.51°, I 62; 42.40°, I 41; 38.94°, I 31; 84.40°, I 25; 68.95°, I 18; 58.92°, I 17; 79.09°, I 17; 87.37°, I 15; 37.75°, I 11

Structure:
a b c (Å): 4.263 5.291 4.766
angles (deg): 90.00 90.00 90.00
Positions (direct):
Li 0.000 0.000 0.000
Zn 0.000 0.256 0.492
Zn 0.000 0.500 0.011
Zn 0.000 0.744 0.492
Zn 0.500 0.000 0.317
Zn 0.500 0.258 0.819
Zn 0.500 0.742 0.819
Co 0.500 0.500 0.312

Starting from the GGA-PBE geometry in OQMD, the powder XRD pattern of Er5Se6 was computed for Cu Kα (weighted mean of Kα1 and Kα2).

Principal peaks in the range 10° ≤ 2θ ≤ 90°, by intensity:
31.58°, I 100; 45.20°, I 37; 45.31°, I 37; 56.28°, I 19; 74.86°, I 17; 75.03°, I 16; 83.63°, I 15; 65.93°, I 12; 27.28°, I 10; 56.09°, I 6

Structure:
a b c (Å): 6.937 6.937 6.935
angles (deg): 99.63 99.63 119.81
Positions (direct):
Er 0.000 0.000 0.000
Er 0.165 0.835 0.500
Er 0.334 0.666 0.000
Er 0.666 0.334 0.000
Er 0.835 0.165 0.500
Se 0.089 0.418 0.253
Se 0.255 0.255 0.744
Se 0.418 0.089 0.253
Se 0.582 0.911 0.747
Se 0.745 0.745 0.256
Se 0.911 0.582 0.747

Starting from the GGA-PBE geometry in OQMD, the powder XRD pattern of Tb4CdCo was computed for Cu Kα (weighted mean of Kα1 and Kα2).

Principal peaks in the range 10° ≤ 2θ ≤ 90°, by intensity:
34.65°, I 100; 32.61°, I 61; 58.19°, I 53; 28.93°, I 34; 37.83°, I 26; 69.53°, I 16; 88.03°, I 15; 89.91°, I 14; 55.95°, I 14; 59.51°, I 13

Structure:
a b c (Å): 9.512 9.512 9.512
angles (deg): 60.00 60.00 60.00
Positions (direct):
Tb 0.040 0.653 0.653
Tb 0.062 0.062 0.438
Tb 0.062 0.438 0.062
Tb 0.062 0.438 0.438
Tb 0.188 0.188 0.812
Tb 0.188 0.812 0.188
Tb 0.188 0.812 0.812
Tb 0.438 0.062 0.062
Tb 0.438 0.062 0.438
Tb 0.438 0.438 0.062
Tb 0.653 0.040 0.653
Tb 0.653 0.653 0.040
Tb 0.653 0.653 0.653
Tb 0.812 0.188 0.188
Tb 0.812 0.188 0.812
Tb 0.812 0.812 0.188
Cd 0.420 0.420 0.420
Cd 0.420 0.420 0.741
Cd 0.420 0.741 0.420
Cd 0.741 0.420 0.420
Co 0.423 0.859 0.859
Co 0.859 0.423 0.859
Co 0.859 0.859 0.423
Co 0.859 0.859 0.859

Starting from the GGA-PBE geometry in OQMD, the powder XRD pattern of NaZnPS2O2 was computed for Cu Kα (weighted mean of Kα1 and Kα2).

Principal peaks in the range 10° ≤ 2θ ≤ 90°, by intensity:
20.04°, I 100; 18.31°, I 70; 31.29°, I 70; 30.12°, I 65; 19.84°, I 59; 31.59°, I 58; 33.61°, I 55; 18.78°, I 37; 36.34°, I 30; 44.82°, I 28

Structure:
a b c (Å): 5.334 5.581 5.733
angles (deg): 91.31 117.60 117.42
Positions (direct):
Na 0.000 0.000 0.000
Zn 0.985 0.480 0.387
P 0.473 0.710 0.151
S 0.292 0.832 0.805
S 0.700 0.067 0.463
O 0.209 0.468 0.189
O 0.714 0.633 0.145